No. 1
Calculated PXRD pattern
Compound: Na5Sn2Pd
Radiation: Cu Kα (weighted mean of Kα1 and Kα2)
Structure: the GGA-PBE geometry in Alexandria
Neutral-atom scattering factors, no anomalous dispersion.

Cell and atoms:
a = 7.6865 Å, b = 14.3245 Å, c = 3.7269 Å
α = 90.00°, β = 90.00°, γ = 90.00°
Space group Pbam (No. 55)
Asymmetric unit:
Na1 0.0000 0.0000 0.0000 (multiplicity 2)
Na2 0.0294 0.2373 0.0000 (multiplicity 4)
Na3 0.2248 0.3852 0.5000 (multiplicity 4)
Sn1 0.1916 0.6070 0.5000 (multiplicity 4)
Pd1 0.0000 0.5000 0.0000 (multiplicity 2)

Principal peaks in the range 5 to 70 degrees two-theta, by angle:
| hkl | d [Å] | 2θ/deg | Rel. int. |
| --- | --- | --- | --- |
| 0 2 0 | 7.162 | 12.4 | 50.4 |
| 1 1 0 | 6.773 | 13.1 | 100.0 |
| 1 2 0 | 5.240 | 16.9 | 69.0 |
| 1 2 1 | 3.037 | 29.4 | 36.1 |
| 2 0 1 | 2.676 | 33.5 | 73.1 |
| 2 4 0 | 2.620 | 34.2 | 61.7 |
| 0 4 1 | 2.582 | 34.7 | 79.8 |
| 3 1 1 | 2.089 | 43.3 | 31.2 |


No. 2
Calculated PXRD pattern
Compound: Na3Sn6Pd5
Radiation: Cu Kα (weighted mean of Kα1 and Kα2)
Structure: the GGA-PBE geometry in Alexandria
Neutral-atom scattering factors, no anomalous dispersion.

Cell and atoms:
a = 4.4483 Å, b = 13.7330 Å, c = 9.9294 Å
α = 90.00°, β = 90.00°, γ = 90.00°
Space group Pmmn (No. 59, origin choice 2)
Asymmetric unit:
Na1 0.2500 0.0452 0.2481 (multiplicity 4)
Na2 0.2500 0.7500 0.2751 (multiplicity 2)
Sn1 0.2500 0.0671 0.5832 (multiplicity 4)
Sn2 0.2500 0.2500 0.0262 (multiplicity 2)
Sn3 0.2500 0.2500 0.3785 (multiplicity 2)
Sn4 0.2500 0.5899 0.9842 (multiplicity 4)
Pd1 0.2500 0.0916 0.8562 (multiplicity 4)
Pd2 0.2500 0.6374 0.5540 (multiplicity 4)
Pd3 0.2500 0.7500 0.8040 (multiplicity 2)

Principal peaks in the range 5 to 70 degrees two-theta, by angle:
| hkl | d [Å] | 2θ/deg | Rel. int. |
| --- | --- | --- | --- |
| 0 0 2 | 4.965 | 17.9 | 69.0 |
| 0 3 1 | 4.157 | 21.4 | 64.6 |
| 1 0 1 | 4.060 | 21.9 | 44.9 |
| 1 3 2 | 2.684 | 33.4 | 100.0 |
| 1 2 3 | 2.477 | 36.3 | 45.3 |
| 1 3 3 | 2.297 | 39.2 | 81.3 |
| 0 6 0 | 2.289 | 39.4 | 42.8 |
| 2 0 0 | 2.224 | 40.6 | 82.7 |


No. 3
Calculated PXRD pattern
Compound: Na12Sn7Pd
Radiation: Cu Kα (weighted mean of Kα1 and Kα2)
Structure: the GGA-PBE geometry in Alexandria
Neutral-atom scattering factors, no anomalous dispersion.

Cell and atoms:
a = 13.5291 Å, b = 13.5291 Å, c = 10.9881 Å
α = 90.00°, β = 90.00°, γ = 120.00°
Space group R-3 (No. 148, hexagonal axes)
Asymmetric unit:
Na1 0.0036 0.8609 0.2459 (multiplicity 18)
Na2 0.0143 0.2591 0.0289 (multiplicity 18)
Sn1 0.0000 0.0000 0.0000 (multiplicity 3)
Sn2 0.0845 0.5074 0.1503 (multiplicity 18)
Pd1 0.0000 0.0000 0.5000 (multiplicity 3)

Principal peaks in the range 5 to 70 degrees two-theta, by angle:
| hkl | d [Å] | 2θ/deg | Rel. int. |
| --- | --- | --- | --- |
| 1 0 1 | 8.015 | 11.0 | 100.0 |
| 0 1 2 | 4.974 | 17.8 | 98.0 |
| 4 -1 2 | 2.797 | 32.0 | 46.7 |
| 1 0 4 | 2.674 | 33.5 | 71.5 |
| 5 -2 1 | 2.611 | 34.3 | 61.2 |
| 1 4 0 | 2.557 | 35.1 | 44.5 |
| 2 3 2 | 2.414 | 37.2 | 76.8 |
| 1 4 3 | 2.097 | 43.1 | 31.8 |